For Li7Mn11O24, a structure optimized by DFT (PBE+U) gives the computed PXRD pattern in this record (Cu Kα (λ = 1.5418 Å)).
Intensities are scaled so that the largest is 100.

Largest 10 diffraction maxima, in order of rising 2θ, 15° ≤ 2θ ≤ 90°:
2θ (°)  d_spacing  I (rel.)  index
17.9  4.964  100.0  2 0 1
18.4  4.810  64.4  1 1 -1
18.6  4.770  38.7  0 0 3
35.0  2.567  12.8  3 1 -3
35.8  2.507  11.5  2 2 1
36.2  2.481  28.1  0 2 3
42.1  2.146  35.2  4 0 -4
43.7  2.070  72.5  2 2 4
61.3  1.513  16.6  6 2 0
63.3  1.468  19.8  2 2 -8

Crystal structure
Unit cell a=10.6346 b=5.8070 c=14.3121 alpha=90.00 beta=90.70 gamma=90.00
Space group C2/m (No. 12)
Asymmetric unit:
Li 0.0000 0.0000 0.0000
Li 0.1321 0.5000 0.7993
Li 0.1492 0.0000 0.1556
Li 0.1516 0.5000 0.5470
Mn 0.0000 0.0000 0.5000
Mn 0.1016 0.2486 0.3332
Mn 0.1511 0.0000 0.6747
Mn 0.1701 0.5000 0.1582
Mn 0.2500 0.2500 0.0000
O 0.0346 0.0000 0.2596
O 0.0368 0.5000 0.2533
O 0.0553 0.2265 0.5952
O 0.1087 0.2663 0.0832
O 0.1680 0.0000 0.4081
O 0.1684 0.5000 0.4071
O 0.1837 0.0000 0.9221
O 0.1909 0.5000 0.9244
O 0.2495 0.2721 0.2534